Simulated XRD peak list
Compound: Pm12Sm5Tm
Radiation: Cu Kα
Structure: DFT lattice parameters and positions (GGA-PBE)

Top 10 peaks for 2θ from 10° to 90°, sorted by position:
2θ = 29.5°, d = 3.028 Å, rel. 26
2θ = 30.1°, d = 2.968 Å, rel. 30
2θ = 31.6°, d = 2.827 Å, rel. 100
2θ = 42.7°, d = 2.120 Å, rel. 19
2θ = 48.0°, d = 1.897 Å, rel. 8
2θ = 53.7°, d = 1.706 Å, rel. 7
2θ = 54.4°, d = 1.685 Å, rel. 22
2θ = 57.3°, d = 1.608 Å, rel. 8
2θ = 57.7°, d = 1.598 Å, rel. 9
2θ = 66.1°, d = 1.414 Å, rel. 10

Cell: 10.569 10.569 6.055 Å, 90.03 90.03 114.84°
Sites, in units of the cell vectors:
Pm: 0.008 0.338 0.456
Pm: 0.160 0.493 0.956
Pm: 0.174 0.174 0.049
Pm: 0.325 0.325 0.550
Pm: 0.338 0.008 0.456
Pm: 0.493 0.160 0.956
Pm: 0.507 0.840 0.044
Pm: 0.662 0.992 0.544
Pm: 0.675 0.675 0.450
Pm: 0.826 0.826 0.951
Pm: 0.840 0.507 0.044
Pm: 0.992 0.662 0.544
Sm: 0.166 0.834 0.000
Sm: 0.333 0.667 0.500
Sm: 0.500 0.500 0.000
Sm: 0.667 0.333 0.500
Sm: 0.834 0.166 0.000
Tm: 0.000 0.000 0.500

Simulated XRD peak list
Compound: AcNdPd2
Radiation: Cu Kα
Structure: DFT lattice parameters and positions (GGA-PBE)

Top 10 peaks for 2θ from 10° to 90°, sorted by position:
2θ = 24.7°, d = 3.599 Å, rel. 16
2θ = 30.3°, d = 2.950 Å, rel. 100
2θ = 31.9°, d = 2.809 Å, rel. 32
2θ = 32.6°, d = 2.745 Å, rel. 24
2θ = 37.3°, d = 2.409 Å, rel. 16
2θ = 38.0°, d = 2.368 Å, rel. 64
2θ = 38.4°, d = 2.343 Å, rel. 30
2θ = 44.9°, d = 2.017 Å, rel. 19
2θ = 50.7°, d = 1.799 Å, rel. 18
2θ = 60.6°, d = 1.529 Å, rel. 16

Cell: 4.686 5.969 5.969 Å, 39.50 90.00 90.00°
Sites, in units of the cell vectors:
Ac: 0.000 0.000 0.000
Nd: 0.500 0.729 0.729
Pd: 0.000 0.275 0.275
Pd: 0.500 0.446 0.446

Simulated XRD peak list
Compound: Ho4Tm3In4
Radiation: Cu Kα
Structure: DFT lattice parameters and positions (GGA-PBE)

Top 10 peaks for 2θ from 10° to 90°, sorted by position:
2θ = 28.9°, d = 3.091 Å, rel. 100
2θ = 29.3°, d = 3.046 Å, rel. 28
2θ = 30.7°, d = 2.916 Å, rel. 72
2θ = 32.9°, d = 2.726 Å, rel. 55
2θ = 36.3°, d = 2.476 Å, rel. 30
2θ = 37.5°, d = 2.400 Å, rel. 46
2θ = 39.0°, d = 2.307 Å, rel. 19
2θ = 39.7°, d = 2.268 Å, rel. 20
2θ = 53.1°, d = 1.723 Å, rel. 20
2θ = 62.5°, d = 1.487 Å, rel. 17

Cell: 9.489 9.489 9.489 Å, 150.70 127.88 60.92°
Sites, in units of the cell vectors:
Ho: 0.035 0.829 0.206
Ho: 0.378 0.171 0.206
Ho: 0.622 0.829 0.794
Ho: 0.965 0.171 0.794
Tm: 0.000 0.500 0.500
Tm: 0.381 0.381 0.000
Tm: 0.619 0.619 0.000
In: 0.211 0.711 0.500
In: 0.323 0.000 0.323
In: 0.677 0.000 0.677
In: 0.789 0.289 0.500

Simulated XRD peak list
Compound: BaTlBi2Rh
Radiation: Cu Kα
Structure: DFT lattice parameters and positions (GGA-PBE)

Top 10 peaks for 2θ from 10° to 90°, sorted by position:
2θ = 14.1°, d = 6.297 Å, rel. 38
2θ = 22.1°, d = 4.028 Å, rel. 21
2θ = 27.9°, d = 3.194 Å, rel. 100
2θ = 28.3°, d = 3.148 Å, rel. 25
2θ = 34.2°, d = 2.620 Å, rel. 66
2θ = 37.5°, d = 2.399 Å, rel. 38
2θ = 45.0°, d = 2.014 Å, rel. 29
2θ = 49.2°, d = 1.853 Å, rel. 24
2θ = 57.5°, d = 1.603 Å, rel. 28
2θ = 63.4°, d = 1.467 Å, rel. 17

Cell: 5.241 5.241 6.297 Å, 90.00 90.00 90.00°
Sites, in units of the cell vectors:
Ba: 0.000 0.000 0.000
Tl: 0.500 0.500 0.111
Bi: 0.000 0.500 0.445
Bi: 0.500 0.000 0.445
Rh: 0.000 0.000 0.537

Simulated XRD peak list
Compound: Dy7Sn2Au2
Radiation: Cu Kα
Structure: DFT lattice parameters and positions (GGA-PBE)

Top 10 peaks for 2θ from 10° to 90°, sorted by position:
2θ = 20.3°, d = 4.379 Å, rel. 19
2θ = 24.8°, d = 3.597 Å, rel. 49
2θ = 26.6°, d = 3.350 Å, rel. 27
2θ = 28.6°, d = 3.117 Å, rel. 29
2θ = 32.0°, d = 2.796 Å, rel. 56
2θ = 33.3°, d = 2.694 Å, rel. 20
2θ = 36.7°, d = 2.448 Å, rel. 43
2θ = 37.0°, d = 2.427 Å, rel. 100
2θ = 43.3°, d = 2.092 Å, rel. 21
2θ = 60.4°, d = 1.533 Å, rel. 18

Cell: 6.984 6.984 7.043 Å, 90.00 90.00 106.40°
Sites, in units of the cell vectors:
Dy: 0.000 0.000 0.000
Dy: 0.000 0.500 0.263
Dy: 0.000 0.500 0.737
Dy: 0.500 0.000 0.263
Dy: 0.500 0.000 0.737
Dy: 0.500 0.500 0.247
Dy: 0.500 0.500 0.753
Sn: 0.179 0.179 0.500
Sn: 0.821 0.821 0.500
Au: 0.287 0.713 0.000
Au: 0.713 0.287 0.000

Simulated XRD peak list
Compound: La2MgPb4
Radiation: Cu Kα
Structure: DFT lattice parameters and positions (GGA-PBE)

Top 10 peaks for 2θ from 10° to 90°, sorted by position:
2θ = 23.2°, d = 3.835 Å, rel. 20
2θ = 25.7°, d = 3.469 Å, rel. 79
2θ = 32.1°, d = 2.790 Å, rel. 100
2θ = 33.0°, d = 2.712 Å, rel. 87
2θ = 46.7°, d = 1.945 Å, rel. 19
2θ = 47.4°, d = 1.917 Å, rel. 55
2θ = 54.7°, d = 1.678 Å, rel. 21
2θ = 58.4°, d = 1.580 Å, rel. 32
2θ = 59.0°, d = 1.566 Å, rel. 16
2θ = 78.9°, d = 1.213 Å, rel. 21

Cell: 8.993 8.993 8.993 Å, 144.90 144.90 50.49°
Sites, in units of the cell vectors:
La: 0.128 0.128 0.000
La: 0.872 0.872 0.000
Mg: 0.500 0.500 0.000
Pb: 0.000 0.500 0.500
Pb: 0.327 0.327 0.000
Pb: 0.500 0.000 0.500
Pb: 0.673 0.673 0.000

Simulated XRD peak list
Compound: KAlHg2Br4
Radiation: Cu Kα
Structure: DFT lattice parameters and positions (GGA-PBE)

Top 10 peaks for 2θ from 10° to 90°, sorted by position:
2θ = 12.7°, d = 6.970 Å, rel. 56
2θ = 15.0°, d = 5.889 Å, rel. 46
2θ = 21.7°, d = 4.095 Å, rel. 60
2θ = 24.1°, d = 3.685 Å, rel. 59
2θ = 24.4°, d = 3.647 Å, rel. 51
2θ = 25.6°, d = 3.485 Å, rel. 95
2θ = 25.9°, d = 3.439 Å, rel. 100
2θ = 27.6°, d = 3.230 Å, rel. 73
2θ = 28.8°, d = 3.099 Å, rel. 74
2θ = 32.2°, d = 2.782 Å, rel. 47

Cell: 6.732 7.536 7.545 Å, 67.67 66.87 80.74°
Sites, in units of the cell vectors:
K: 0.000 0.000 0.000
Al: 0.711 0.659 0.801
Hg: 0.387 0.302 0.511
Hg: 0.947 0.298 0.364
Br: 0.065 0.688 0.763
Br: 0.488 0.814 0.028
Br: 0.616 0.337 0.939
Br: 0.668 0.796 0.486

Simulated XRD peak list
Compound: Pu2NiBi
Radiation: Cu Kα
Structure: DFT lattice parameters and positions (GGA-PBE)

Top 10 peaks for 2θ from 10° to 90°, sorted by position:
2θ = 28.6°, d = 3.119 Å, rel. 33
2θ = 31.4°, d = 2.846 Å, rel. 21
2θ = 34.0°, d = 2.636 Å, rel. 100
2θ = 38.0°, d = 2.369 Å, rel. 50
2θ = 50.1°, d = 1.821 Å, rel. 24
2θ = 54.8°, d = 1.675 Å, rel. 18
2θ = 60.9°, d = 1.521 Å, rel. 18
2θ = 64.6°, d = 1.444 Å, rel. 12
2θ = 66.1°, d = 1.414 Å, rel. 30
2θ = 86.4°, d = 1.126 Å, rel. 14

Cell: 3.350 3.350 8.539 Å, 90.00 90.00 90.00°
Sites, in units of the cell vectors:
Pu: 0.000 0.000 0.197
Pu: 0.000 0.000 0.803
Ni: 0.500 0.500 0.000
Bi: 0.500 0.500 0.500

Simulated XRD peak list
Compound: GeAsP
Radiation: Cu Kα
Structure: DFT lattice parameters and positions (GGA-PBE)

Top 10 peaks for 2θ from 10° to 90°, sorted by position:
2θ = 14.1°, d = 6.302 Å, rel. 100
2θ = 18.7°, d = 4.744 Å, rel. 37
2θ = 19.0°, d = 4.672 Å, rel. 31
2θ = 28.1°, d = 3.180 Å, rel. 48
2θ = 28.8°, d = 3.098 Å, rel. 88
2θ = 37.3°, d = 2.413 Å, rel. 31
2θ = 38.4°, d = 2.342 Å, rel. 27
2θ = 39.8°, d = 2.266 Å, rel. 22
2θ = 45.7°, d = 1.987 Å, rel. 25
2θ = 56.9°, d = 1.619 Å, rel. 27

Cell: 7.178 7.178 5.121 Å, 108.62 108.62 41.79°
Sites, in units of the cell vectors:
Ge: 0.250 0.250 0.246
Ge: 0.750 0.750 0.754
As: 0.218 0.531 0.703
As: 0.469 0.782 0.297
P: 0.530 0.195 0.018
P: 0.805 0.470 0.982

Simulated XRD peak list
Compound: Mg2W
Radiation: Cu Kα
Structure: DFT lattice parameters and positions (GGA-PBE)

Top 10 peaks for 2θ from 10° to 90°, sorted by position:
2θ = 12.6°, d = 7.052 Å, rel. 72
2θ = 16.4°, d = 5.406 Å, rel. 46
2θ = 18.0°, d = 4.932 Å, rel. 100
2θ = 33.7°, d = 2.662 Å, rel. 24
2θ = 36.3°, d = 2.476 Å, rel. 50
2θ = 36.4°, d = 2.466 Å, rel. 40
2θ = 38.3°, d = 2.351 Å, rel. 31
2θ = 38.6°, d = 2.335 Å, rel. 29
2θ = 40.7°, d = 2.216 Å, rel. 48
2θ = 40.8°, d = 2.209 Å, rel. 50

Cell: 5.758 5.758 7.288 Å, 104.16 104.16 28.11°
Sites, in units of the cell vectors:
Mg: 0.000 0.000 0.000
Mg: 0.056 0.056 0.623
Mg: 0.396 0.396 0.301
Mg: 0.733 0.733 0.959
W: 0.321 0.321 0.656
W: 0.673 0.673 0.344

Simulated XRD peak list
Compound: Tl2CuPdCl6
Radiation: Cu Kα
Structure: DFT lattice parameters and positions (GGA-PBE)

Top 10 peaks for 2θ from 10° to 90°, sorted by position:
2θ = 25.2°, d = 3.539 Å, rel. 100
2θ = 25.8°, d = 3.449 Å, rel. 47
2θ = 31.2°, d = 2.864 Å, rel. 43
2θ = 34.9°, d = 2.571 Å, rel. 26
2θ = 36.7°, d = 2.448 Å, rel. 23
2θ = 37.0°, d = 2.430 Å, rel. 22
2θ = 43.9°, d = 2.062 Å, rel. 23
2θ = 45.1°, d = 2.012 Å, rel. 22
2θ = 45.2°, d = 2.004 Å, rel. 22
2θ = 51.6°, d = 1.773 Å, rel. 16

Cell: 7.100 7.076 6.898 Å, 61.06 60.71 58.23°
Sites, in units of the cell vectors:
Tl: 0.250 0.250 0.250
Tl: 0.750 0.750 0.750
Cu: 0.000 0.000 0.000
Pd: 0.500 0.500 0.500
Cl: 0.236 0.764 0.236
Cl: 0.245 0.755 0.755
Cl: 0.268 0.268 0.732
Cl: 0.732 0.732 0.268
Cl: 0.755 0.245 0.245
Cl: 0.764 0.236 0.764

Simulated XRD peak list
Compound: HoMgN
Radiation: Cu Kα
Structure: DFT lattice parameters and positions (GGA-PBE)

Top 10 peaks for 2θ from 10° to 90°, sorted by position:
2θ = 16.3°, d = 5.436 Å, rel. 64
2θ = 24.6°, d = 3.624 Å, rel. 73
2θ = 27.5°, d = 3.246 Å, rel. 65
2θ = 30.1°, d = 2.973 Å, rel. 72
2θ = 33.4°, d = 2.687 Å, rel. 34
2θ = 34.2°, d = 2.620 Å, rel. 61
2θ = 40.0°, d = 2.256 Å, rel. 25
2θ = 42.0°, d = 2.149 Å, rel. 100
2θ = 44.4°, d = 2.041 Å, rel. 29
2θ = 55.8°, d = 1.647 Å, rel. 23

Cell: 10.995 10.995 3.090 Å, 90.00 90.00 162.83°
Sites, in units of the cell vectors:
Ho: 0.084 0.916 0.750
Ho: 0.916 0.084 0.250
Mg: 0.301 0.699 0.250
Mg: 0.699 0.301 0.750
N: 0.382 0.618 0.750
N: 0.618 0.382 0.250